[1]
Diffraction record for ErBO3. The X-ray powder pattern is theoretical, not measured: it uses a structure optimized by DFT (PBE) and Cu Kα X-rays.
No peak broadening, texture or thermal motion is included.

Cell and atoms:
Cell: 8.606 6.689 4.072 Å, 90.00 90.00 90.00°
Space group Ama2 (No. 40)
One atom of each set of equivalent atoms:
Er: 0.000 0.000 0.000 x4
B: 0.250 0.129 0.580 x4
O: 0.103 0.171 0.453 x8
O: 0.250 0.033 0.878 x4

Principal peaks in the range 10° ≤ 2θ ≤ 80°, sorted by position:
| two_theta | I/Imax |
| --- | --- |
| 20.64 | 73 |
| 25.61 | 98 |
| 26.65 | 48 |
| 33.12 | 100 |
| 33.95 | 41 |
| 46.43 | 35 |
| 49.84 | 45 |
| 50.43 | 24 |
| 51.31 | 31 |
| 57.13 | 23 |

---

[2]
Diffraction record for ErBO3. The X-ray powder pattern is theoretical, not measured: it uses a structure optimized by DFT (PBE) and Cu Kα X-rays.
No peak broadening, texture or thermal motion is included.

Cell and atoms:
Cell: 7.182 8.984 9.838 Å, 81.34 85.66 77.36°
Space group P-1 (No. 2)
One atom of each set of equivalent atoms:
Er: 0.064 0.058 0.157 x2
Er: 0.073 0.557 0.655 x2
Er: 0.237 0.942 0.527 x2
Er: 0.251 0.458 0.019 x2
Er: 0.402 0.567 0.337 x2
Er: 0.403 0.064 0.829 x2
B: 0.022 0.215 0.578 x2
B: 0.034 0.720 0.113 x2
B: 0.280 0.717 0.808 x2
B: 0.331 0.228 0.294 x2
B: 0.385 0.244 0.551 x2
B: 0.393 0.748 0.052 x2
O: 0.026 0.189 0.429 x2
O: 0.046 0.407 0.874 x2
O: 0.065 0.907 0.351 x2
O: 0.066 0.132 0.916 x2
O: 0.072 0.627 0.412 x2
O: 0.091 0.687 0.868 x2
O: 0.229 0.176 0.628 x2
O: 0.232 0.682 0.136 x2
O: 0.254 0.383 0.260 x2
O: 0.255 0.884 0.763 x2
O: 0.331 0.130 0.199 x2
O: 0.343 0.625 0.698 x2
O: 0.347 0.410 0.536 x2
O: 0.350 0.913 0.034 x2
O: 0.419 0.165 0.419 x2
O: 0.420 0.661 0.928 x2
O: 0.435 0.314 0.870 x2
O: 0.441 0.818 0.373 x2

Principal peaks in the range 10° ≤ 2θ ≤ 80°, sorted by position:
| two_theta | I/Imax |
| --- | --- |
| 20.46 | 57 |
| 27.86 | 31 |
| 28.05 | 32 |
| 30.73 | 51 |
| 30.81 | 100 |
| 32.41 | 28 |
| 38.14 | 17 |
| 47.96 | 17 |
| 51.21 | 15 |
| 51.42 | 16 |

---

[3]
Diffraction record for ErB4Os. The X-ray powder pattern is theoretical, not measured: it uses a structure optimized by DFT (PBE) and Cu Kα X-rays.
No peak broadening, texture or thermal motion is included.

Cell and atoms:
Cell: 5.950 11.507 3.558 Å, 90.00 90.00 90.00°
Space group Pbam (No. 55)
One atom of each set of equivalent atoms:
Er: 0.128 0.150 0.000 x4
B: 0.025 0.692 0.500 x4
B: 0.113 0.547 0.500 x4
B: 0.136 0.970 0.500 x4
B: 0.210 0.814 0.500 x4
Os: 0.142 0.406 0.000 x4

Principal peaks in the range 10° ≤ 2θ ≤ 80°, sorted by position:
| two_theta | I/Imax |
| --- | --- |
| 25.03 | 88 |
| 31.06 | 86 |
| 34.63 | 21 |
| 38.29 | 29 |
| 40.30 | 100 |
| 43.21 | 28 |
| 46.29 | 39 |
| 51.36 | 18 |
| 61.25 | 26 |
| 72.66 | 13 |

---

[4]
Diffraction record for Er2B6Os. The X-ray powder pattern is theoretical, not measured: it uses a structure optimized by DFT (PBE) and Cu Kα X-rays.
No peak broadening, texture or thermal motion is included.

Cell and atoms:
Cell: 9.113 11.484 3.637 Å, 90.00 90.00 90.00°
Space group Pbam (No. 55)
One atom of each set of equivalent atoms:
Er: 0.055 0.127 0.000 x4
Er: 0.179 0.414 0.000 x4
B: 0.016 0.287 0.500 x4
B: 0.054 0.566 0.500 x4
B: 0.110 0.969 0.500 x4
B: 0.133 0.814 0.500 x4
B: 0.208 0.233 0.500 x4
B: 0.249 0.579 0.500 x4
Os: 0.138 0.678 0.000 x4

Principal peaks in the range 10° ≤ 2θ ≤ 80°, sorted by position:
| two_theta | I/Imax |
| --- | --- |
| 24.47 | 100 |
| 30.46 | 64 |
| 31.15 | 21 |
| 32.70 | 29 |
| 33.37 | 24 |
| 39.46 | 77 |
| 40.01 | 26 |
| 41.27 | 36 |
| 41.81 | 31 |
| 50.16 | 21 |

---

[5]
Diffraction record for ErBPd3. The X-ray powder pattern is theoretical, not measured: it uses a structure optimized by DFT (PBE) and Cu Kα X-rays.
No peak broadening, texture or thermal motion is included.

Cell and atoms:
Cell: 4.305 4.305 4.305 Å, 90.00 90.00 90.00°
Space group Pm-3m (No. 221)
One atom of each set of equivalent atoms:
Er: 0.000 0.000 0.000 x1
B: 0.500 0.500 0.500 x1
Pd: 0.000 0.500 0.500 x3

Principal peaks in the range 10° ≤ 2θ ≤ 80°, sorted by position:
| two_theta | I/Imax |
| --- | --- |
| 20.63 | 3 |
| 29.34 | 5 |
| 36.14 | 100 |
| 41.98 | 52 |
| 47.21 | 2 |
| 52.04 | 2 |
| 60.87 | 34 |
| 68.99 | 1 |
| 72.88 | 38 |
| 76.69 | 12 |

---

Copy entry 4 word for word.
Diffraction record for Er2B6Os. The X-ray powder pattern is theoretical, not measured: it uses a structure optimized by DFT (PBE) and Cu Kα X-rays.
No peak broadening, texture or thermal motion is included.

Cell and atoms:
Cell: 9.113 11.484 3.637 Å, 90.00 90.00 90.00°
Space group Pbam (No. 55)
One atom of each set of equivalent atoms:
Er: 0.055 0.127 0.000 x4
Er: 0.179 0.414 0.000 x4
B: 0.016 0.287 0.500 x4
B: 0.054 0.566 0.500 x4
B: 0.110 0.969 0.500 x4
B: 0.133 0.814 0.500 x4
B: 0.208 0.233 0.500 x4
B: 0.249 0.579 0.500 x4
Os: 0.138 0.678 0.000 x4

Principal peaks in the range 10° ≤ 2θ ≤ 80°, sorted by position:
| two_theta | I/Imax |
| --- | --- |
| 24.47 | 100 |
| 30.46 | 64 |
| 31.15 | 21 |
| 32.70 | 29 |
| 33.37 | 24 |
| 39.46 | 77 |
| 40.01 | 26 |
| 41.27 | 36 |
| 41.81 | 31 |
| 50.16 | 21 |